# 1
# Li3Dy2Pt4
Computed powder X-ray diffraction pattern, Cu Kα, 1.54184 Å. Input: a cell relaxed with PBE.
Neutral-atom scattering factors, no anomalous dispersion.

Atomic structure:
```
Li3Dy2Pt4
1.0
2.766 -7.340 0.000
2.766 7.340 0.000
0.000 0.000 7.559
Li Dy Pt
6 4 8
direct
0.000 0.000 0.000
0.031 0.469 0.250
0.469 0.031 0.750
0.500 0.500 0.500
0.531 0.969 0.250
0.969 0.531 0.750
0.113 0.887 0.412
0.387 0.613 0.912
0.613 0.387 0.088
0.887 0.113 0.588
0.178 0.822 0.033
0.201 0.299 0.250
0.299 0.201 0.750
0.322 0.678 0.533
0.678 0.322 0.467
0.701 0.799 0.250
0.799 0.701 0.750
0.822 0.178 0.967
```

Principal peaks in the range 2θ = 5–70°, in order of rising 2θ:
d = 3.360 Å, 26.53 deg, intensity 56
d = 3.300 Å, 27.02 deg, intensity 52
d = 2.632 Å, 34.06 deg, intensity 33
d = 2.588 Å, 34.66 deg, intensity 27
d = 2.451 Å, 36.66 deg, intensity 100
d = 2.383 Å, 37.75 deg, intensity 47
d = 2.328 Å, 38.68 deg, intensity 21
d = 2.232 Å, 40.41 deg, intensity 61
d = 2.209 Å, 40.85 deg, intensity 21
d = 2.077 Å, 43.58 deg, intensity 16
d = 1.532 Å, 60.43 deg, intensity 15
d = 1.529 Å, 60.55 deg, intensity 15



# 2
# Li4DyPt2
Computed powder X-ray diffraction pattern, Cu Kα, 1.54184 Å. Input: a cell relaxed with PBE.
Neutral-atom scattering factors, no anomalous dispersion.

Atomic structure:
```
Li4DyPt2
1.0
7.572 0.000 0.000
0.000 7.572 0.000
0.000 0.000 4.111
Li Dy Pt
8 2 4
direct
0.099 0.347 0.000
0.153 0.599 0.500
0.347 0.099 0.000
0.401 0.847 0.500
0.599 0.153 0.500
0.653 0.901 0.000
0.847 0.401 0.500
0.901 0.653 0.000
0.000 0.000 0.500
0.500 0.500 0.000
0.205 0.795 0.000
0.295 0.295 0.500
0.705 0.705 0.500
0.795 0.205 0.000
```

Principal peaks in the range 2θ = 5–70°, in order of rising 2θ:
d = 5.355 Å, 16.56 deg, intensity 45
d = 3.786 Å, 23.50 deg, intensity 16
d = 3.386 Å, 26.32 deg, intensity 35
d = 3.261 Å, 27.35 deg, intensity 100
d = 2.677 Å, 33.47 deg, intensity 47
d = 2.614 Å, 34.31 deg, intensity 62
d = 2.151 Å, 42.00 deg, intensity 53
d = 2.069 Å, 43.75 deg, intensity 31
d = 2.055 Å, 44.06 deg, intensity 19
d = 1.837 Å, 49.64 deg, intensity 20
d = 1.630 Å, 56.44 deg, intensity 22
d = 1.421 Å, 65.71 deg, intensity 15



# 3
# LiDySc2Pt4
Computed powder X-ray diffraction pattern, Cu Kα, 1.54184 Å. Input: a cell relaxed with PBE.
Neutral-atom scattering factors, no anomalous dispersion.

Atomic structure:
```
LiDySc2Pt4
1.0
2.292 1.323 7.986
-2.292 1.323 7.986
0.000 -2.647 7.986
Li Dy Sc Pt
1 1 2 4
direct
0.000 0.000 0.000
0.500 0.500 0.500
0.261 0.261 0.261
0.739 0.739 0.739
0.110 0.110 0.110
0.376 0.376 0.376
0.624 0.624 0.624
0.890 0.890 0.890
```

Principal peaks in the range 2θ = 5–70°, in order of rising 2θ:
d = 3.916 Å, 22.70 deg, intensity 8
d = 3.768 Å, 23.61 deg, intensity 8
d = 3.309 Å, 26.94 deg, intensity 61
d = 3.057 Å, 29.21 deg, intensity 16
d = 2.592 Å, 34.60 deg, intensity 15
d = 2.391 Å, 37.62 deg, intensity 88
d = 2.292 Å, 39.31 deg, intensity 100
d = 2.051 Å, 44.15 deg, intensity 12
d = 1.884 Å, 48.30 deg, intensity 13
d = 1.655 Å, 55.54 deg, intensity 29
d = 1.455 Å, 63.97 deg, intensity 12
d = 1.401 Å, 66.77 deg, intensity 7



# 4
# LiDy2PuS5
Computed powder X-ray diffraction pattern, Cu Kα, 1.54184 Å. Input: a cell relaxed with PBE.
Neutral-atom scattering factors, no anomalous dispersion.

Atomic structure:
```
LiDy2PuS5
1.0
1.953 -8.106 0.000
1.953 8.106 0.000
0.000 0.000 11.737
Li Dy Pu S
2 4 2 10
direct
0.017 0.983 0.500
0.983 0.017 0.000
0.377 0.623 0.316
0.392 0.608 0.705
0.608 0.392 0.205
0.623 0.377 0.816
0.301 0.699 0.022
0.699 0.301 0.522
0.000 0.000 0.303
0.000 0.000 0.803
0.133 0.867 0.022
0.191 0.809 0.360
0.211 0.789 0.685
0.454 0.546 0.096
0.546 0.454 0.596
0.789 0.211 0.185
0.809 0.191 0.860
0.867 0.133 0.522
```

Principal peaks in the range 2θ = 5–70°, in order of rising 2θ:
d = 8.106 Å, 10.92 deg, intensity 25
d = 4.754 Å, 18.67 deg, intensity 33
d = 3.831 Å, 23.22 deg, intensity 31
d = 3.798 Å, 23.42 deg, intensity 33
d = 3.523 Å, 25.28 deg, intensity 47
d = 3.335 Å, 26.73 deg, intensity 19
d = 3.166 Å, 28.19 deg, intensity 29
d = 2.725 Å, 32.87 deg, intensity 100
d = 2.633 Å, 34.05 deg, intensity 32
d = 2.296 Å, 39.24 deg, intensity 67
d = 1.954 Å, 46.47 deg, intensity 28
d = 1.886 Å, 48.25 deg, intensity 33



# 5
# LiDy3Pu3Se8
Computed powder X-ray diffraction pattern, Cu Kα, 1.54184 Å. Input: a cell relaxed with PBE.
Neutral-atom scattering factors, no anomalous dispersion.

Atomic structure:
```
LiDy3Pu3Se8
1.0
7.080 -4.097 0.000
7.080 4.097 0.000
-4.698 0.000 6.684
Li Dy Pu Se
1 3 3 8
direct
0.000 0.000 0.000
0.000 0.000 0.500
0.000 0.500 0.000
0.500 0.000 0.000
0.000 0.500 0.500
0.500 0.000 0.500
0.500 0.500 0.000
0.242 0.753 0.246
0.247 0.247 0.245
0.247 0.758 0.754
0.248 0.248 0.751
0.752 0.752 0.249
0.753 0.242 0.246
0.753 0.753 0.755
0.758 0.247 0.754
```

Principal peaks in the range 2θ = 5–70°, in order of rising 2θ:
d = 5.788 Å, 15.31 deg, intensity 24
d = 4.093 Å, 21.71 deg, intensity 22
d = 3.342 Å, 26.68 deg, intensity 17
d = 2.894 Å, 30.90 deg, intensity 100
d = 2.589 Å, 34.64 deg, intensity 11
d = 2.364 Å, 38.07 deg, intensity 9
d = 2.047 Å, 44.24 deg, intensity 62
d = 2.043 Å, 44.35 deg, intensity 12
d = 1.746 Å, 52.41 deg, intensity 7
d = 1.672 Å, 54.91 deg, intensity 20
d = 1.667 Å, 55.08 deg, intensity 7
d = 1.447 Å, 64.39 deg, intensity 12



# 6
# LiDy2Rh2
Computed powder X-ray diffraction pattern, Cu Kα, 1.54184 Å. Input: a cell relaxed with PBE.
Neutral-atom scattering factors, no anomalous dispersion.

Atomic structure:
```
LiDy2Rh2
1.0
-2.032 2.979 4.084
2.032 -2.979 4.084
2.032 2.979 -4.084
Li Dy Rh
1 2 2
direct
0.000 0.000 0.000
0.295 0.795 0.500
0.705 0.205 0.500
0.268 0.500 0.768
0.732 0.500 0.232
```

Principal peaks in the range 2θ = 5–70°, in order of rising 2θ:
d = 4.813 Å, 18.43 deg, intensity 32
d = 3.639 Å, 24.46 deg, intensity 19
d = 3.357 Å, 26.55 deg, intensity 94
d = 2.594 Å, 34.59 deg, intensity 99
d = 2.476 Å, 36.28 deg, intensity 24
d = 2.407 Å, 37.36 deg, intensity 100
d = 2.305 Å, 39.08 deg, intensity 72
d = 2.262 Å, 39.85 deg, intensity 76
d = 2.032 Å, 44.59 deg, intensity 40
d = 1.784 Å, 51.20 deg, intensity 27
d = 1.553 Å, 59.54 deg, intensity 51
d = 1.351 Å, 69.59 deg, intensity 40



# 7
# LiDy4Rh2
Computed powder X-ray diffraction pattern, Cu Kα, 1.54184 Å. Input: a cell relaxed with PBE.
Neutral-atom scattering factors, no anomalous dispersion.

Atomic structure:
```
LiDy4Rh2
1.0
6.708 0.000 0.000
-0.950 6.891 0.000
-2.582 -3.299 7.182
Li Dy Rh
2 8 4
direct
0.000 0.000 0.000
0.154 0.831 0.640
0.059 0.564 0.834
0.322 0.680 0.296
0.379 0.213 0.360
0.429 0.243 0.955
0.539 0.618 0.786
0.764 0.072 0.671
0.820 0.769 0.264
0.877 0.299 0.337
0.167 0.198 0.598
0.459 0.904 0.088
0.713 0.624 0.525
0.916 0.388 0.041
```

Principal peaks in the range 2θ = 5–70°, in order of rising 2θ:
d = 3.131 Å, 28.51 deg, intensity 46
d = 3.082 Å, 28.98 deg, intensity 47
d = 3.067 Å, 29.11 deg, intensity 61
d = 2.967 Å, 30.12 deg, intensity 52
d = 2.687 Å, 33.34 deg, intensity 72
d = 2.671 Å, 33.55 deg, intensity 44
d = 2.573 Å, 34.86 deg, intensity 48
d = 2.512 Å, 35.75 deg, intensity 67
d = 2.492 Å, 36.04 deg, intensity 100
d = 2.461 Å, 36.51 deg, intensity 44
d = 2.386 Å, 37.70 deg, intensity 74
d = 2.241 Å, 40.24 deg, intensity 66



# 8
# LiDyRu
Computed powder X-ray diffraction pattern, Cu Kα, 1.54184 Å. Input: a cell relaxed with PBE.
Neutral-atom scattering factors, no anomalous dispersion.

Atomic structure:
```
LiDyRu
1.0
2.420 -5.059 0.000
2.420 5.059 0.000
0.000 0.000 4.547
Li Dy Ru
2 2 2
direct
0.050 0.950 0.750
0.950 0.050 0.250
0.254 0.746 0.250
0.746 0.254 0.750
0.436 0.564 0.750
0.564 0.436 0.250
```

Principal peaks in the range 2θ = 5–70°, in order of rising 2θ:
d = 5.059 Å, 17.53 deg, intensity 17
d = 4.367 Å, 20.34 deg, intensity 33
d = 3.382 Å, 26.35 deg, intensity 8
d = 3.150 Å, 28.34 deg, intensity 45
d = 2.530 Å, 35.49 deg, intensity 11
d = 2.420 Å, 37.14 deg, intensity 28
d = 2.364 Å, 38.07 deg, intensity 100
d = 2.274 Å, 39.64 deg, intensity 24
d = 2.211 Å, 40.82 deg, intensity 8
d = 2.017 Å, 44.95 deg, intensity 8
d = 1.657 Å, 55.45 deg, intensity 18
d = 1.386 Å, 67.58 deg, intensity 27